Diffraction record for GdDyTm2Zn2. The powder XRD pattern is calculated, not measured: it uses a structure optimized by DFT (PBE) and copper Kα.
Lines closer than 0.1° are merged.

Structure:
```
data_GdDyTm2Zn2
_space_group_name_H-M_alt 'A m m 2'
_space_group_IT_number 38
_cell_length_a 5.206
_cell_length_b 3.564
_cell_length_c 16.283
_cell_angle_alpha 90.00
_cell_angle_beta 90.00
_cell_angle_gamma 90.00
loop_
_space_group_symop_operation_xyz
'x,y,z'
'-x,-y,z'
'-x,y,z'
'x,-y,z'
'x,y+1/2,z+1/2'
'-x,-y+1/2,z+1/2'
'-x,y+1/2,z+1/2'
'x,-y+1/2,z+1/2'
loop_
_atom_site_label
_atom_site_type_symbol
_atom_site_fract_x
_atom_site_fract_y
_atom_site_fract_z
Gd1 Gd 0.000 0.000 0.000
Dy1 Dy 0.500 0.000 0.837
Tm1 Tm 0.000 0.000 0.697
Tm2 Tm 0.500 0.000 0.139
Zn1 Zn 0.000 0.000 0.346
Zn2 Zn 0.500 0.000 0.490
```

Most intense lines, 2θ from 10° to 80°, in order of rising 2θ:
two_theta	Rel. int.	(hkl)
27.82	21	1 0 4
33.01	19	0 0 6
34.45	29	2 0 0
34.69	100	1 1 3
37.37	9	1 0 6
48.46	13	2 0 6
51.27	9	0 2 0
59.28	14	2 1 7
61.88	19	3 1 3
63.24	10	2 2 0